Entry 1:
Theoretical X-ray powder pattern of KCeS2O8 for CuKα, from DFT lattice parameters and positions (PBE).
No peak broadening, texture or thermal motion is included.

Crystal structure
Unit cell a=5.522 b=7.137 c=8.625 alpha=85.69 beta=88.79 gamma=88.19
Atoms (fractional coordinates):
K 0.247 0.154 0.313
K 0.753 0.846 0.687
Ce 0.186 0.318 0.796
Ce 0.814 0.682 0.204
S 0.258 0.674 0.430
S 0.278 0.800 0.953
S 0.722 0.200 0.047
S 0.742 0.326 0.570
O 0.038 0.805 0.421
O 0.127 0.641 0.912
O 0.163 0.874 0.095
O 0.226 0.542 0.306
O 0.269 0.577 0.587
O 0.287 0.948 0.824
O 0.469 0.272 0.014
O 0.480 0.784 0.397
O 0.520 0.216 0.603
O 0.531 0.728 0.986
O 0.713 0.052 0.176
O 0.731 0.423 0.413
O 0.774 0.458 0.694
O 0.837 0.126 0.905
O 0.873 0.359 0.088
O 0.962 0.195 0.579

Most intense lines, 10° ≤ 2θ ≤ 80°, by angle:
- (0 1 1), 15.56 deg, I = 100.0
- (0 2 0), 25.04 deg, I = 59.8
- (1 0 -2), 26.52 deg, I = 84.8
- (1 1 2), 28.03 deg, I = 75.4
- (1 -1 2), 29.84 deg, I = 99.1
- (0 1 4), 43.06 deg, I = 56.8

---

Entry 2:
Theoretical X-ray powder pattern of KAg2AsO4 for CuKα, from DFT lattice parameters and positions (PBE).
No peak broadening, texture or thermal motion is included.

Crystal structure
Unit cell a=6.007 b=6.007 c=7.209 alpha=90.00 beta=90.00 gamma=90.00
Atoms (fractional coordinates):
K 0.000 0.000 0.000
K 0.500 0.500 0.500
Ag 0.000 0.500 0.250
Ag 0.000 0.500 0.750
Ag 0.500 0.000 0.250
Ag 0.500 0.000 0.750
As 0.000 0.000 0.500
As 0.500 0.500 0.000
O 0.168 0.168 0.638
O 0.168 0.832 0.362
O 0.332 0.332 0.138
O 0.332 0.668 0.862
O 0.668 0.332 0.862
O 0.668 0.668 0.138
O 0.832 0.168 0.362
O 0.832 0.832 0.638

Most intense lines, 10° ≤ 2θ ≤ 80°, by angle:
- (1 0 1), 19.23 deg, I = 10.9
- (2 0 0), 29.74 deg, I = 51.0
- (1 1 2), 32.58 deg, I = 100.0
- (2 2 0), 42.56 deg, I = 25.4
- (3 1 2), 54.61 deg, I = 43.8
- (2 0 4), 59.85 deg, I = 18.5